Structure and theoretical powder diffraction line list of PuV2O5 (a crystal structure in Alexandria, relaxed with GGA+U; CuKα).
Intensities are scaled so that the largest is 100.

Top 6 peaks for 10 to 90 degrees two-theta, by angle:
(hkl)  2θ (°)  I_rel
0 2 1  19.70  56
1 1 1  26.20  48
1 1 2  30.72  100
0 2 3  32.72  51
1 3 1  36.36  50
0 4 1  36.53  46

Cell and atoms:
```
data_PuV2O5
_chemical_formula_sum 'Pu4 V8 O20'
_symmetry_space_group_name_H-M 'C m c m'
_symmetry_Int_Tables_number 63
_symmetry_space_group_name_Hall '-C 2c 2'
_cell_length_a 3.8859
_cell_length_b 10.1684
_cell_length_c 9.7443
_cell_angle_alpha 90.00
_cell_angle_beta 90.00
_cell_angle_gamma 90.00
loop_
_atom_site_label
_atom_site_fract_x
_atom_site_fract_y
_atom_site_fract_z
Pu1 0.0000 0.0711 0.2500
V1 0.0000 0.3538 0.0566
O1 0.0000 0.1632 0.5264
O2 0.0000 0.2849 0.2500
O3 0.0000 0.4527 0.6231
```